This entry pairs a crystal structure of Sm5HoTm2Sc with its computed X-ray diffraction stick pattern. Radiation: copper Kα. Structure: DFT lattice parameters and positions (PBE).
Lines closer than 0.1° are merged.

Crystal structure
abc: 11.157 11.157 10.137
angles: 90.00 90.00 152.48
Fractional coordinates of all 18 atoms:
Sm: 0.000 0.000 0.000
Sm: 0.000 0.000 0.500
Sm: 0.126 0.874 0.750
Sm: 0.221 0.779 0.062
Sm: 0.221 0.779 0.438
Sm: 0.499 0.501 0.250
Sm: 0.501 0.499 0.750
Sm: 0.779 0.221 0.562
Sm: 0.779 0.221 0.938
Sm: 0.874 0.126 0.250
Ho: 0.101 0.899 0.250
Ho: 0.899 0.101 0.750
Tm: 0.384 0.616 0.502
Tm: 0.384 0.616 0.998
Tm: 0.616 0.384 0.002
Tm: 0.616 0.384 0.498
Sc: 0.285 0.715 0.750
Sc: 0.715 0.285 0.250

Largest 10 diffraction maxima, in order of rising 2θ, 2θ from 10° to 80°:
- 27.3°, 3.269 Å, intensity 345
- 32.0°, 2.799 Å, intensity 1000
- 33.1°, 2.709 Å, intensity 136
- 33.8°, 2.653 Å, intensity 399
- 35.4°, 2.534 Å, intensity 164
- 48.0°, 1.896 Å, intensity 98
- 49.8°, 1.833 Å, intensity 132
- 58.8°, 1.571 Å, intensity 93
- 59.3°, 1.559 Å, intensity 172
- 61.1°, 1.518 Å, intensity 212

This entry pairs a crystal structure of NaTl2CrI6 with its computed X-ray diffraction stick pattern. Radiation: copper Kα. Structure: DFT lattice parameters and positions (PBE).
Lines closer than 0.1° are merged.

Crystal structure
abc: 8.159 8.159 8.159
angles: 61.20 61.20 61.20
Fractional coordinates of all 10 atoms:
Na: 0.000 0.000 0.000
Tl: 0.215 0.215 0.215
Tl: 0.728 0.728 0.728
Cr: 0.507 0.507 0.507
I: 0.194 0.359 0.730
I: 0.294 0.825 0.647
I: 0.359 0.730 0.194
I: 0.647 0.294 0.825
I: 0.730 0.194 0.359
I: 0.825 0.647 0.294

Largest 10 diffraction maxima, in order of rising 2θ, 2θ from 10° to 80°:
- 21.8°, 4.078 Å, intensity 318
- 25.3°, 3.515 Å, intensity 854
- 26.4°, 3.381 Å, intensity 1000
- 27.0°, 3.301 Å, intensity 381
- 30.7°, 2.910 Å, intensity 833
- 33.3°, 2.694 Å, intensity 259
- 34.7°, 2.584 Å, intensity 385
- 37.5°, 2.398 Å, intensity 336
- 37.7°, 2.383 Å, intensity 291
- 56.5°, 1.629 Å, intensity 324

Q: Number 2 is which compound?
A: NaTl2CrI6